For Dy4Hg3Pd, the GGA-PBE geometry in Alexandria gives the simulated XRD peak list in this record (copper Kα).
Peak positions follow from Bragg's law for the DFT cell and can differ from measured ones.

Largest 8 diffraction maxima, by intensity, 10 to 90 degrees two-theta:
hkl  two_theta  I (rel.)
1 0 4  34.5  100
1 1 0  34.8  51
2 1 4  62.2  37
2 0 0  50.0  18
1 1 8  61.7  17
2 0 8  72.8  11
3 1 0  83.9  8
0 0 8  49.3  8

Crystal structure
a b c (Å): 3.6486 3.6486 14.7982
angles (deg): 90.00 90.00 90.00
Sites, in units of the cell vectors:
1 Dy 0.0000 0.0000 0.1127
2 Dy 0.0000 0.0000 0.3709
3 Dy 0.0000 0.0000 0.6291
4 Dy 0.0000 0.0000 0.8873
5 Hg 0.5000 0.5000 0.2449
6 Hg 0.5000 0.5000 0.5000
7 Hg 0.5000 0.5000 0.7551
8 Pd 0.5000 0.5000 0.0000